Calculated XRD peak list
Compound: Pm5Er3Sb8
Radiation: Cu Kα
Structure: a DFT-relaxed cell (PBE, Alexandria)
Peak positions follow from Bragg's law for the DFT cell and can differ from measured ones.

Main lines, in order of rising 2θ (10 to 90 degrees two-theta):
d 3.626, 2θ 24.55, intensity 3; d 3.140, 2θ 28.42, intensity 100; d 2.221, 2θ 40.63, intensity 76; d 1.894, 2θ 48.04, intensity 2; d 1.813, 2θ 50.33, intensity 27; d 1.570, 2θ 58.81, intensity 13; d 1.441, 2θ 64.69, intensity 1; d 1.404, 2θ 66.59, intensity 35; d 1.282, 2θ 73.93, intensity 26; d 1.110, 2θ 87.95, intensity 8

Crystal structure
abc: 8.8805 8.8805 8.8805
angles: 60.03 60.03 60.03
Fractional positions:
Pm1 0.0000 0.0000 0.0000
Pm2 0.0000 0.5000 0.5000
Pm3 0.5000 0.0000 0.5000
Pm4 0.5000 0.5000 0.0000
Pm5 0.5000 0.5000 0.5000
Er1 0.0000 0.0000 0.5000
Er2 0.0000 0.5000 0.0000
Er3 0.5000 0.0000 0.0000
Sb1 0.2437 0.7500 0.7500
Sb2 0.2469 0.2469 0.2469
Sb3 0.2500 0.2500 0.7563
Sb4 0.2500 0.7563 0.2500
Sb5 0.7500 0.2437 0.7500
Sb6 0.7500 0.7500 0.2437
Sb7 0.7531 0.7531 0.7531
Sb8 0.7563 0.2500 0.2500